This entry pairs a crystal structure of Li7Mn5O12 with its theoretical XRD peak list. Radiation: Cu Ka. Structure: a DFT-relaxed cell (PBE+U, the Materials Project).
No peak broadening, texture or thermal motion is included.

Principal peaks in the range 2θ = 10–80°, low angle first:
2θ (°)	I_rel
10.3	10
18.3	100
34.1	17
36.4	25
41.1	35
44.3	56
47.1	9
58.4	9
61.8	17
62.3	16
63.9	7
65.2	7

Structural model:
```
Li7Mn5O12
1.0
5.252 0.000 0.000
0.000 8.590 0.000
-2.058 0.000 4.877
Li Mn O
7 5 12
Direct
0.000 0.000 0.000
0.000 0.161 0.500
0.000 0.332 0.000
0.000 0.500 0.500
0.000 0.668 0.000
0.000 0.839 0.500
0.500 0.000 0.500
0.500 0.165 0.000
0.500 0.330 0.500
0.500 0.500 0.000
0.500 0.670 0.500
0.500 0.835 0.000
0.264 0.000 0.781
0.264 0.330 0.777
0.264 0.670 0.777
0.268 0.500 0.277
0.290 0.173 0.237
0.290 0.827 0.237
0.710 0.173 0.763
0.710 0.827 0.763
0.732 0.500 0.723
0.736 0.000 0.219
0.736 0.330 0.223
0.736 0.670 0.223
```

This entry pairs a crystal structure of Zn2Cr3FeO8 with its theoretical XRD peak list. Radiation: Cu Ka. Structure: a DFT-relaxed cell (PBE+U, the Materials Project).
No peak broadening, texture or thermal motion is included.

Principal peaks in the range 2θ = 10–80°, low angle first:
2θ (°)	I_rel
18.0	3
29.7	39
35.0	100
36.6	6
42.5	13
52.6	10
52.8	4
56.1	36
61.6	22
61.7	21
69.9	5
72.8	8

Structural model:
```
Zn2Cr3FeO8
1.0
3.012 1.739 4.905
-3.012 1.739 4.905
0.000 -3.478 4.905
Zn Cr Fe O
2 3 1 8
Direct
0.124 0.124 0.124
0.876 0.876 0.876
0.000 0.500 0.500
0.500 0.000 0.500
0.500 0.500 0.000
0.500 0.500 0.500
0.260 0.260 0.717
0.260 0.717 0.260
0.262 0.262 0.262
0.283 0.740 0.740
0.717 0.260 0.260
0.738 0.738 0.738
0.740 0.283 0.740
0.740 0.740 0.283
```